Record 1
The following is a calculated powder XRD pattern of InGa2S. It was derived from DFT lattice parameters and positions (PBE), using Cu Kα (λ = 1.5418 Å).

Unit cell a=6.1163 b=6.1163 c=11.4623 alpha=90.00 beta=90.00 gamma=90.00
Fractional coordinates of all 16 atoms:
In  0.0000  0.0000  0.0000
In  0.0000  0.5000  0.2500
In  0.5000  0.0000  0.7500
In  0.5000  0.5000  0.5000
Ga  0.2193  0.2500  0.6250
Ga  0.2500  0.7193  0.8750
Ga  0.2500  0.7807  0.3750
Ga  0.2807  0.2500  0.1250
Ga  0.7193  0.7500  0.1250
Ga  0.7500  0.2193  0.3750
Ga  0.7500  0.2807  0.8750
Ga  0.7807  0.7500  0.6250
S  0.0000  0.0000  0.5000
S  0.0000  0.5000  0.7500
S  0.5000  0.0000  0.2500
S  0.5000  0.5000  0.0000

The 10 most intense peaks (15° ≤ 2θ ≤ 90°), sorted by position:
2θ = 16.43°, I 12
2θ = 25.81°, I 100
2θ = 27.53°, I 10
2θ = 33.69°, I 14
2θ = 41.77°, I 25
2θ = 43.27°, I 47
2θ = 49.75°, I 29
2θ = 52.36°, I 14
2θ = 69.11°, I 11
2θ = 77.30°, I 14

Record 2
The following is a calculated powder XRD pattern of TbInGa2S6. It was derived from DFT lattice parameters and positions (PBE), using Cu Kα (λ = 1.5418 Å).

Unit cell a=8.5223 b=8.5223 c=6.5982 alpha=98.53 beta=98.53 gamma=87.16
Fractional coordinates of all 20 atoms:
Tb  0.0988  0.9012  0.7500
Tb  0.9012  0.0988  0.2500
In  0.2844  0.7156  0.2500
In  0.7156  0.2844  0.7500
Ga  0.2260  0.3955  0.7136
Ga  0.3955  0.2260  0.2136
Ga  0.6045  0.7740  0.7864
Ga  0.7740  0.6045  0.2864
S  0.0255  0.2096  0.6496
S  0.1283  0.6172  0.8969
S  0.2096  0.0255  0.1496
S  0.2776  0.4395  0.3910
S  0.3828  0.8717  0.6031
S  0.4395  0.2776  0.8910
S  0.5605  0.7224  0.1090
S  0.6172  0.1283  0.3969
S  0.7224  0.5605  0.6090
S  0.7904  0.9745  0.8504
S  0.8717  0.3828  0.1031
S  0.9745  0.7904  0.3504

The 10 most intense peaks (15° ≤ 2θ ≤ 90°), sorted by position:
2θ = 23.34°, I 40
2θ = 23.51°, I 43
2θ = 26.86°, I 100
2θ = 27.62°, I 35
2θ = 32.91°, I 24
2θ = 33.72°, I 19
2θ = 44.64°, I 18
2θ = 45.04°, I 16
2θ = 47.42°, I 30
2θ = 48.75°, I 31

Record 3
The following is a calculated powder XRD pattern of ZnInGa2S6. It was derived from DFT lattice parameters and positions (PBE), using Cu Kα (λ = 1.5418 Å).

Unit cell a=8.9581 b=8.9581 c=6.6762 alpha=109.08 beta=109.08 gamma=89.28
Fractional coordinates of all 20 atoms:
Zn  0.1793  0.8207  0.7500
Zn  0.8207  0.1793  0.2500
In  0.1648  0.8352  0.2500
In  0.8352  0.1648  0.7500
Ga  0.2307  0.4005  0.2863
Ga  0.4005  0.2307  0.7863
Ga  0.5995  0.7693  0.2137
Ga  0.7693  0.5995  0.7137
S  0.0450  0.1838  0.1226
S  0.1040  0.6240  0.3920
S  0.1838  0.0450  0.6226
S  0.3431  0.4468  0.0443
S  0.3760  0.8960  0.1080
S  0.4468  0.3431  0.5443
S  0.5532  0.6569  0.4557
S  0.6240  0.1040  0.8920
S  0.6569  0.5532  0.9557
S  0.8162  0.9550  0.3774
S  0.8960  0.3760  0.6080
S  0.9550  0.8162  0.8774

The 10 most intense peaks (15° ≤ 2θ ≤ 90°), sorted by position:
2θ = 20.58°, I 43
2θ = 21.09°, I 72
2θ = 21.31°, I 48
2θ = 22.60°, I 100
2θ = 24.63°, I 71
2θ = 30.15°, I 38
2θ = 32.18°, I 94
2θ = 35.76°, I 36
2θ = 43.43°, I 52
2θ = 51.48°, I 49

Record 4
The following is a calculated powder XRD pattern of InGaSb2. It was derived from DFT lattice parameters and positions (PBE), using Cu Kα (λ = 1.5418 Å).

Unit cell a=4.5358 b=4.5358 c=6.4401 alpha=90.00 beta=90.00 gamma=90.00
Fractional coordinates of all 4 atoms:
In  0.0000  0.0000  0.0000
Ga  0.5000  0.5000  0.5000
Sb  0.0000  0.5000  0.2669
Sb  0.5000  0.0000  0.7331

The 10 most intense peaks (15° ≤ 2θ ≤ 90°), sorted by position:
2θ = 24.00°, I 100
2θ = 39.69°, I 77
2θ = 46.82°, I 15
2θ = 46.96°, I 32
2θ = 57.47°, I 9
2θ = 63.05°, I 12
2θ = 63.17°, I 7
2θ = 71.92°, I 8
2θ = 72.08°, I 17
2θ = 77.28°, I 7

Record 5
The following is a calculated powder XRD pattern of InGaSbTe. It was derived from DFT lattice parameters and positions (PBE), using Cu Kα (λ = 1.5418 Å).

Unit cell a=4.2540 b=4.2540 c=8.1587 alpha=90.00 beta=90.00 gamma=120.00
Fractional coordinates of all 4 atoms:
In  0.0000  0.0000  0.0000
Ga  0.0000  0.0000  0.3280
Sb  0.6667  0.3333  0.8188
Te  0.3333  0.6667  0.4813

The 10 most intense peaks (15° ≤ 2θ ≤ 90°), sorted by position:
2θ = 21.79°, I 21
2θ = 26.55°, I 100
2θ = 32.75°, I 34
2θ = 41.26°, I 48
2θ = 42.50°, I 43
2θ = 48.25°, I 15
2θ = 50.81°, I 16
2θ = 60.73°, I 15
2θ = 68.34°, I 13
2θ = 76.92°, I 15